Na5Ni9O16: calculated powder XRD pattern (CuKα), based on the PBE+U geometry in Alexandria.

Most intense lines, 10° ≤ 2θ ≤ 90°, low angle first:
(0 0 1), 17.10°, I 100
(0 0 2), 34.59°, I 23
(1 4 0), 36.02°, I 15
(2 0 0), 36.80°, I 17
(1 4 -1), 37.32°, I 31
(2 0 -2), 41.71°, I 47
(1 4 1), 42.77°, I 86
(1 4 -3), 59.80°, I 25
(2 0 2), 59.90°, I 12
(3 4 -1), 62.74°, I 24

Structural model:
abc: 5.168 11.600 5.487
angles: 90.00 109.05 90.00
Space group P2/m (No. 10)
One atom of each set of equivalent atoms:
Na  0.000  0.000  0.000 (multiplicity 1)
Na  0.000  0.253  0.000 (multiplicity 2)
Na  0.500  0.138  0.000 (multiplicity 2)
Ni  0.000  0.127  0.500 (multiplicity 2)
Ni  0.000  0.379  0.500 (multiplicity 2)
Ni  0.000  0.500  0.000 (multiplicity 1)
Ni  0.500  0.000  0.500 (multiplicity 1)
Ni  0.500  0.251  0.500 (multiplicity 2)
Ni  0.500  0.500  0.500 (multiplicity 1)
O  0.202  0.500  0.706 (multiplicity 2)
O  0.211  0.254  0.688 (multiplicity 4)
O  0.238  0.385  0.299 (multiplicity 4)
O  0.241  0.000  0.685 (multiplicity 2)
O  0.279  0.119  0.295 (multiplicity 4)